# Dy2ErVO6
Theoretical powder diffractogram, CuKα. Input: a DFT-relaxed cell (PBE+U, Alexandria).
Lines closer than 0.1° are merged.

Structure:
```
Dy2ErVO6
1.0
5.632 0.000 0.000
2.815 4.881 0.000
0.003 3.247 4.912
Dy Er V O
2 1 1 6
Direct
0.000 0.000 0.000 Dy
0.495 0.010 0.484 Dy
0.217 0.565 0.651 Er
0.709 0.581 0.128 V
0.074 0.099 0.332 O
0.343 0.061 0.845 O
0.432 0.494 0.332 O
0.596 0.497 0.846 O
0.827 0.741 0.332 O
0.907 0.750 0.846 O
```

Most intense lines, 5 to 70 degrees two-theta, in order of falling intensity:
two_theta  intensity
30.4  100
31.8  94
44.5  41
55.7  40
49.2  28
56.6  27